(1)
Tc3P4Ru2: theoretical powder diffraction line list (CuKα), based on a GGA-PBE-relaxed structure.
No peak broadening, texture or thermal motion is included.

Structural model:
Unit cell a=5.9700 b=3.2336 c=13.4352 alpha=90.00 beta=94.38 gamma=90.00
Space group P2/m (No. 10)
Unique sites:
1 Tc 0.0000 0.0000 0.0000 x1
2 Tc 0.2099 0.0000 0.8028 x2
3 Tc 0.2149 0.5000 0.3032 x2
4 Tc 0.5000 0.5000 0.5000 x1
5 P 0.1737 0.0000 0.1704 x2
6 P 0.2332 0.0000 0.4326 x2
7 P 0.2490 0.5000 0.9307 x2
8 P 0.3765 0.5000 0.6834 x2
9 Ru 0.1495 0.0000 0.5947 x2
10 Ru 0.3794 0.5000 0.0966 x2

The 12 most intense peaks (2θ from 5° to 70°), in order of rising 2θ:
two_theta	d/Å	I/Imax	index
29.59	3.019	19	1 0 -4
31.49	2.841	59	1 1 0
31.96	2.800	30	1 1 -1
32.45	2.759	35	1 1 1
33.86	2.648	36	2 0 2
37.86	2.376	18	1 0 5
42.16	2.143	22	1 0 -6
43.89	2.063	100	0 1 5
45.08	2.011	33	2 1 -3
46.76	1.943	20	3 0 -2
56.96	1.617	31	0 2 0
59.69	1.549	22	3 1 3

---

(2)
Ce3Dy2Pb6: theoretical powder diffraction line list (CuKα), based on a GGA-PBE-relaxed structure.
No peak broadening, texture or thermal motion is included.

Structural model:
Unit cell a=5.9627 b=5.9627 c=22.1536 alpha=90.00 beta=90.00 gamma=90.00
Space group I4/mmm (No. 139)
Unique sites:
1 Ce 0.0000 0.0000 0.0000 x2
2 Ce 0.0000 0.0000 0.1457 x4
3 Dy 0.0000 0.0000 0.4245 x4
4 Pb 0.0000 0.0000 0.2892 x4
5 Pb 0.0000 0.5000 0.0753 x8

The 12 most intense peaks (2θ from 5° to 70°), in order of rising 2θ:
two_theta	d/Å	I/Imax	index
7.98	11.077	35	0 0 2
22.56	3.940	35	1 1 2
24.10	3.692	14	0 0 6
29.97	2.981	100	2 0 0
32.02	2.795	56	1 0 7
32.23	2.778	26	1 1 6
38.85	2.318	24	2 0 6
42.90	2.108	38	2 2 0
44.43	2.039	46	2 1 7
54.68	1.679	18	2 2 8
63.47	1.466	16	3 2 7
66.95	1.398	19	2 0 14

---

(3)
Ba2SnPtO6: theoretical powder diffraction line list (CuKα), based on a GGA-PBE-relaxed structure.
No peak broadening, texture or thermal motion is included.

Structural model:
Unit cell a=5.9238 b=5.9238 c=30.0953 alpha=90.00 beta=90.00 gamma=120.00
Space group R-3m (No. 166, hexagonal axes)
Unique sites:
1 Ba 0.0000 0.0000 0.1268 x6
2 Ba 0.0000 0.0000 0.2856 x6
3 Sn 0.0000 0.0000 0.4070 x6
4 Pt 0.0000 0.0000 0.0000 x3
5 Pt 0.0000 0.0000 0.5000 x3
6 O 0.0160 0.5080 0.7077 x18
7 O 0.0289 0.5145 0.1221 x18

The 12 most intense peaks (2θ from 5° to 70°), in order of rising 2θ:
two_theta	d/Å	I/Imax	index
18.27	4.856	22	0 1 2
27.06	3.295	35	1 0 7
29.44	3.034	28	0 1 8
30.17	2.962	100	1 1 0
34.55	2.596	28	1 0 10
40.97	2.203	21	0 2 7
42.66	2.119	13	2 0 8
46.52	1.952	18	0 2 10
53.14	1.724	12	1 2 8
53.59	1.710	20	3 0 0
56.45	1.630	16	2 1 10
62.74	1.481	18	2 2 0

---

(4)
K6P2Pd: theoretical powder diffraction line list (CuKα), based on a GGA-PBE-relaxed structure.
No peak broadening, texture or thermal motion is included.

Structural model:
Unit cell a=5.6965 b=5.6965 c=30.1689 alpha=90.00 beta=90.00 gamma=120.00
Space group R-3m (No. 166, hexagonal axes)
Unique sites:
1 K 0.0000 0.0000 0.0833 x6
2 K 0.0000 0.0000 0.1997 x6
3 K 0.0000 0.0000 0.3116 x6
4 P 0.0000 0.0000 0.4190 x6
5 Pd 0.0000 0.0000 0.5000 x3

The 12 most intense peaks (2θ from 5° to 70°), in order of rising 2θ:
two_theta	d/Å	I/Imax	index
8.79	10.056	38	0 0 3
18.22	4.869	22	1 0 1
23.29	3.819	18	0 1 5
27.48	3.246	20	1 0 7
31.41	2.848	100	1 1 0
32.68	2.740	11	1 1 3
34.86	2.574	42	1 0 10
47.62	1.910	16	0 2 10
48.28	1.885	11	1 1 12
55.92	1.644	18	3 0 0
58.16	1.586	17	2 1 10
65.55	1.424	10	2 2 0

---

(5)
Sm6Tl6Sn: theoretical powder diffraction line list (CuKα), based on a GGA-PBE-relaxed structure.
No peak broadening, texture or thermal motion is included.

Structural model:
Unit cell a=6.6029 b=6.6029 c=10.5560 alpha=90.00 beta=90.00 gamma=120.00
Space group P6/mmm (No. 191)
Unique sites:
1 Sm 0.0000 0.0000 0.2001 x2
2 Sm 0.3333 0.6667 0.0000 x2
3 Sm 0.3333 0.6667 0.5000 x2
4 Tl 0.0000 0.5000 0.2478 x6
5 Sn 0.0000 0.0000 0.5000 x1

The 12 most intense peaks (2θ from 5° to 70°), in order of rising 2θ:
two_theta	d/Å	I/Imax	index
16.80	5.278	20	0 0 2
27.01	3.301	15	1 1 0
31.28	2.859	47	2 0 0
31.98	2.799	39	1 1 2
33.97	2.639	29	0 0 4
35.72	2.514	100	2 0 2
46.85	1.939	22	2 0 4
55.68	1.651	27	2 2 0
59.54	1.553	13	1 1 6
61.93	1.498	13	2 0 6
66.85	1.399	25	2 2 4
67.93	1.380	16	4 0 2

---

(6)
NpSi2PtRh2: theoretical powder diffraction line list (CuKα), based on a GGA-PBE-relaxed structure.
No peak broadening, texture or thermal motion is included.

Structural model:
Unit cell a=4.5276 b=4.5276 c=5.5128 alpha=90.00 beta=90.00 gamma=90.00
Space group P4/mmm (No. 123)
Unique sites:
1 Np 0.0000 0.0000 0.0000 x1
2 Si 0.0000 0.5000 0.5000 x2
3 Pt 0.0000 0.0000 0.5000 x1
4 Rh 0.5000 0.5000 0.2476 x2

The 12 most intense peaks (2θ from 5° to 70°), in order of rising 2θ:
two_theta	d/Å	I/Imax	index
19.61	4.528	28	1 0 0
27.87	3.202	95	1 1 0
32.48	2.756	7	0 0 2
38.23	2.354	100	1 0 2
39.82	2.264	53	2 0 0
44.76	2.025	7	2 1 0
52.29	1.749	8	2 0 2
56.38	1.632	65	2 1 2
57.58	1.601	18	2 2 0
65.16	1.432	18	3 1 0
67.67	1.385	5	2 2 2
68.02	1.378	5	0 0 4

---

(7)
Ce3Ir2Pd3: theoretical powder diffraction line list (CuKα), based on a GGA-PBE-relaxed structure.
No peak broadening, texture or thermal motion is included.

Structural model:
Unit cell a=7.1425 b=7.1425 c=3.7359 alpha=90.00 beta=90.00 gamma=120.00
Space group P-62m (No. 189)
Unique sites:
1 Ce 0.0000 0.3794 0.0000 x3
2 Ir 0.3333 0.6667 0.5000 x2
3 Pd 0.0000 0.7730 0.5000 x3

The 12 most intense peaks (2θ from 5° to 70°), in order of rising 2θ:
two_theta	d/Å	I/Imax	index
14.32	6.186	10	1 0 0
23.82	3.736	7	0 0 1
24.93	3.571	7	1 1 0
34.75	2.581	100	1 1 1
37.76	2.382	30	2 0 1
38.51	2.338	38	2 1 0
43.91	2.062	26	3 0 0
45.78	1.982	20	2 1 1
48.75	1.868	16	0 0 2
57.18	1.611	8	2 2 1
63.78	1.459	17	2 1 2
67.68	1.384	14	3 0 2

---

(8)
Nd2SmHoTm4: theoretical powder diffraction line list (CuKα), based on a GGA-PBE-relaxed structure.
No peak broadening, texture or thermal motion is included.

Structural model:
Unit cell a=12.3328 b=7.1188 c=12.2621 alpha=90.00 beta=109.61 gamma=90.00
Space group C2/m (No. 12)
Unique sites:
1 Nd 0.0000 0.0000 0.0000 x2
2 Nd 0.0000 0.0000 0.5000 x2
3 Nd 0.2500 0.2500 0.0000 x4
4 Sm 0.0000 0.5000 0.0000 x2
5 Sm 0.0000 0.5000 0.5000 x2
6 Ho 0.2500 0.2500 0.5000 x4
7 Tm 0.0008 0.2501 0.2519 x8
8 Tm 0.2504 0.0000 0.2518 x4
9 Tm 0.2497 0.0000 0.7481 x4

The 11 most intense peaks (2θ from 5° to 70°), in order of rising 2θ:
two_theta	d/Å	I/Imax	index
15.34	5.777	1	0 0 2
30.78	2.904	100	4 0 0
30.97	2.888	33	0 0 4
35.75	2.512	67	2 2 2
51.33	1.780	24	0 4 0
51.57	1.772	24	4 0 4
61.06	1.518	14	4 4 0
61.17	1.515	28	6 2 2
61.38	1.510	14	2 2 6
64.13	1.452	12	8 0 0
64.54	1.444	4	0 0 8

---

(9)
Er3TcPb: theoretical powder diffraction line list (CuKα), based on a GGA-PBE-relaxed structure.
No peak broadening, texture or thermal motion is included.

Structural model:
Unit cell a=9.4197 b=3.3794 c=8.0974 alpha=90.00 beta=90.00 gamma=90.00
Space group Pmma (No. 51)
Unique sites:
1 Er 0.0457 0.0000 0.2156 x4
2 Er 0.2500 0.0000 0.5594 x2
3 Tc 0.0000 0.5000 0.5000 x2
4 Pb 0.2500 0.5000 0.9324 x2

The 12 most intense peaks (2θ from 5° to 70°), in order of rising 2θ:
two_theta	d/Å	I/Imax	index
29.08	3.070	30	2 0 2
30.54	2.928	25	3 0 1
34.52	2.598	100	2 1 1
35.90	2.501	20	1 1 2
38.22	2.355	16	4 0 0
39.66	2.272	18	2 1 2
40.78	2.213	7	3 1 1
54.29	1.690	10	0 2 0
59.87	1.545	9	5 0 3
60.76	1.524	8	5 1 2
60.97	1.520	15	3 1 4
62.77	1.480	7	2 2 2

---

(10)
Na2IrIO6: theoretical powder diffraction line list (CuKα), based on a GGA-PBE-relaxed structure.
No peak broadening, texture or thermal motion is included.

Structural model:
Unit cell a=5.6889 b=5.6889 c=3.9508 alpha=90.00 beta=90.00 gamma=90.00
Space group P4mm (No. 99)
Unique sites:
1 Na 0.0000 0.5000 0.0000 x2
2 Ir 0.0000 0.0000 0.5020 x1
3 I 0.5000 0.5000 0.5015 x1
4 O 0.0000 0.0000 0.0022 x1
5 O 0.2511 0.2511 0.5029 x4
6 O 0.5000 0.5000 0.0025 x1

The 12 most intense peaks (2θ from 5° to 70°), in order of rising 2θ:
two_theta	d/Å	I/Imax	index
22.10	4.023	100	1 1 0
22.50	3.951	48	0 0 1
31.45	2.844	49	2 0 0
31.75	2.819	96	1 1 1
45.08	2.011	35	2 2 0
45.94	1.975	16	0 0 2
50.75	1.799	21	3 1 0
50.95	1.792	21	2 2 1
51.54	1.773	20	1 1 2
56.18	1.637	39	3 1 1
56.74	1.622	19	2 0 2
66.32	1.409	20	2 2 2

---

(11)
Sr2Ag4Sn3Hg: theoretical powder diffraction line list (CuKα), based on a GGA-PBE-relaxed structure.
No peak broadening, texture or thermal motion is included.

Structural model:
Unit cell a=4.6995 b=4.6995 c=11.7832 alpha=90.00 beta=90.00 gamma=90.00
Space group P-4m2 (No. 115)
Unique sites:
1 Sr 0.0000 0.5000 0.2428 x2
2 Ag 0.0000 0.0000 0.0000 x1
3 Ag 0.0000 0.5000 0.6392 x2
4 Ag 0.5000 0.5000 0.0000 x1
5 Sn 0.0000 0.5000 0.8689 x2
6 Sn 0.5000 0.5000 0.5000 x1
7 Hg 0.0000 0.0000 0.5000 x1

The 12 most intense peaks (2θ from 5° to 70°), in order of rising 2θ:
two_theta	d/Å	I/Imax	index
15.04	5.892	21	0 0 2
20.34	4.365	17	1 0 1
29.64	3.014	36	1 0 3
30.89	2.894	100	1 1 2
38.31	2.350	65	2 0 0
40.94	2.204	52	1 1 4
42.93	2.107	23	1 0 5
49.17	1.853	18	2 1 3
54.26	1.691	10	1 1 6
55.29	1.662	23	2 2 0
58.88	1.569	18	2 1 5
64.69	1.441	24	3 1 2

---

(12)
MgTc2F: theoretical powder diffraction line list (CuKα), based on a GGA-PBE-relaxed structure.
No peak broadening, texture or thermal motion is included.

Structural model:
Unit cell a=3.3878 b=3.3878 c=23.1021 alpha=90.00 beta=90.00 gamma=90.00
Space group I-42d (No. 122)
Unique sites:
1 Mg 0.0000 0.0000 0.0000 x4
2 Tc 0.2482 0.7500 0.1250 x8
3 F 0.0000 0.0000 0.5000 x4

The 11 most intense peaks (2θ from 5° to 70°), in order of rising 2θ:
two_theta	d/Å	I/Imax	index
15.34	5.776	100	0 0 4
30.97	2.888	46	0 0 8
38.37	2.346	71	1 1 2
44.55	2.034	46	1 1 6
47.21	1.925	6	0 0 12
54.14	1.694	8	2 0 0
55.24	1.663	24	1 1 10
56.63	1.625	31	2 0 4
63.69	1.461	9	2 0 8
64.54	1.444	5	0 0 16
69.12	1.359	12	1 1 14

---

(13)
TmBO4: theoretical powder diffraction line list (CuKα), based on a GGA-PBE-relaxed structure.
No peak broadening, texture or thermal motion is included.

Structural model:
Unit cell a=4.6560 b=4.6560 c=11.0062 alpha=90.00 beta=90.00 gamma=90.00
Space group I4_1/a (No. 88, origin choice 2)
Unique sites:
1 Tm 0.0000 0.2500 0.1250 x4
2 B 0.0000 0.2500 0.6250 x4
3 O 0.1125 0.0050 0.6953 x16

The 12 most intense peaks (2θ from 5° to 70°), in order of rising 2θ:
two_theta	d/Å	I/Imax	index
20.71	4.288	93	1 0 1
31.03	2.882	28	1 0 3
31.67	2.825	100	1 1 2
32.54	2.752	20	0 0 4
38.68	2.328	20	2 0 0
44.27	2.046	39	1 2 1
45.58	1.990	22	1 0 5
50.39	1.811	31	2 1 3
51.41	1.777	27	2 0 4
57.51	1.602	18	1 1 6
65.64	1.422	24	3 1 2
66.15	1.413	12	2 2 4